Diffraction record for Dy2YTmIr4. The X-ray diffraction stick pattern is theoretical, not measured: it uses a crystal structure in OQMD, relaxed with GGA-PBE and copper Kα.

Structure:
```
Dy2YTmIr4
1.0
4.8200 0.0000 0.0000
0.0000 4.8200 0.0000
0.0000 0.0000 6.8318
Dy Y Tm Ir
2 1 1 4
direct
0.0000 0.0000 0.0000
0.5000 0.5000 0.5000
0.0000 0.0000 0.5000
0.5000 0.5000 0.0000
0.0000 0.5000 0.2468
0.0000 0.5000 0.7532
0.5000 0.0000 0.2468
0.5000 0.0000 0.7532
```

Principal peaks in the range 5 to 70 degrees two-theta, by angle:
2θ/deg  Rel. int.
12.96  1
18.41  1
26.13  2
37.28  100
46.09  1
53.66  6
53.79  12
60.69  1
67.23  36

---

Diffraction record for CsReO3. The X-ray diffraction stick pattern is theoretical, not measured: it uses a crystal structure in OQMD, relaxed with GGA-PBE and copper Kα.

Structure:
```
CsReO3
1.0
2.7615 1.5944 6.4323
-2.7615 1.5944 6.4323
0.0000 -3.1887 6.4323
Cs Re O
2 2 6
direct
0.1243 0.1243 0.1243
0.8757 0.8757 0.8757
0.3336 0.3336 0.3336
0.6664 0.6664 0.6664
0.0599 0.5610 0.5610
0.4390 0.4390 0.9401
0.4390 0.9401 0.4390
0.5610 0.0599 0.5610
0.5610 0.5610 0.0599
0.9401 0.4390 0.4390
```

Principal peaks in the range 5 to 70 degrees two-theta, by angle:
2θ/deg  Rel. int.
13.77  38
20.73  37
26.24  98
29.74  46
32.42  100
42.17  37
43.18  38
44.57  19
54.17  72
57.83  20

---

Diffraction record for AlCuS2. The X-ray diffraction stick pattern is theoretical, not measured: it uses a crystal structure in OQMD, relaxed with GGA-PBE and copper Kα.

Structure:
```
AlCuS2
1.0
-2.6634 2.6634 5.2523
2.6634 -2.6634 5.2523
2.6634 2.6634 -5.2523
Al Cu S
2 2 4
direct
0.0000 0.0000 0.0000
0.7500 0.2500 0.5000
0.2500 0.7500 0.5000
0.5000 0.5000 0.0000
0.1179 0.6241 0.9928
0.3759 0.3687 0.4939
0.6313 0.1252 0.0072
0.8748 0.8821 0.5061
```

Principal peaks in the range 5 to 70 degrees two-theta, by angle:
2θ/deg  Rel. int.
18.68  16
29.18  100
30.55  6
33.65  2
38.76  7
46.08  3
48.33  22
48.69  42
57.45  26
58.10  13

---

Diffraction record for Gd2Ag2TeSe3. The X-ray diffraction stick pattern is theoretical, not measured: it uses a crystal structure in OQMD, relaxed with GGA-PBE and copper Kα.

Structure:
```
Gd2Ag2TeSe3
1.0
4.9798 -4.7760 0.0000
4.9798 4.7760 0.0000
-0.0841 0.0000 4.4378
Gd Ag Te Se
2 2 1 3
direct
0.0000 0.0000 0.0000
0.5234 0.5234 0.4034
0.0102 0.5072 0.2213
0.5072 0.0102 0.2213
0.3046 0.3046 0.8999
0.2111 0.8090 0.4814
0.7132 0.7132 0.9282
0.8090 0.2111 0.4814
```

Principal peaks in the range 5 to 70 degrees two-theta, by angle:
2θ/deg  Rel. int.
27.43  100
32.69  84
34.74  53
35.35  54
35.96  55
36.08  95
37.67  90
44.15  59
44.65  55
45.05  71

---

Diffraction record for K2Sn2Hg3S8. The X-ray diffraction stick pattern is theoretical, not measured: it uses a crystal structure in OQMD, relaxed with GGA-PBE and copper Kα.

Structure:
```
K2Sn2Hg3S8
1.0
19.9162 0.0000 0.0000
0.0000 5.0150 4.3745
0.0000 -5.0150 4.3745
K Sn Hg S
4 4 6 16
direct
0.1176 0.2068 0.7932
0.3824 0.7068 0.2932
0.6176 0.2932 0.7068
0.8824 0.7932 0.2068
0.1345 0.7212 0.2927
0.3655 0.2212 0.7927
0.6345 0.7927 0.2212
0.8655 0.2927 0.7212
0.0000 0.3552 0.3552
0.2457 0.6568 0.7360
0.2543 0.1568 0.2360
0.5000 0.8552 0.8552
0.7457 0.2360 0.1568
0.7543 0.7360 0.6568
0.0317 0.5804 0.1232
0.1260 0.6744 0.6484
0.1331 0.0786 0.2473
0.2326 0.5652 0.1402
0.2674 0.0652 0.6402
0.3669 0.5786 0.7473
0.3740 0.1744 0.1484
0.4683 0.0804 0.6232
0.5317 0.6232 0.0804
0.6260 0.1484 0.1744
0.6331 0.7473 0.5786
0.7326 0.6402 0.0652
0.7674 0.1402 0.5652
0.8669 0.2473 0.0786
0.8740 0.6484 0.6744
0.9683 0.1232 0.5804
```

Principal peaks in the range 5 to 70 degrees two-theta, by angle:
2θ/deg  Rel. int.
8.88  36
14.15  46
16.12  30
18.97  23
22.20  57
25.20  52
27.09  100
27.42  22
28.53  50
36.09  49

---

Diffraction record for ErZnNi. The X-ray diffraction stick pattern is theoretical, not measured: it uses a crystal structure in OQMD, relaxed with GGA-PBE and copper Kα.

Structure:
```
ErZnNi
1.0
6.6753 0.0000 0.0000
0.0000 3.9671 0.0000
0.0000 0.0000 7.8714
Er Zn Ni
4 4 4
direct
0.0395 0.2500 0.1840
0.4605 0.7500 0.6840
0.5395 0.2500 0.3160
0.9605 0.7500 0.8160
0.1402 0.2500 0.5606
0.3598 0.7500 0.0606
0.6402 0.2500 0.9394
0.8598 0.7500 0.4394
0.2417 0.7500 0.3750
0.2583 0.2500 0.8750
0.7417 0.7500 0.1250
0.7583 0.2500 0.6250
```

Principal peaks in the range 5 to 70 degrees two-theta, by angle:
2θ/deg  Rel. int.
25.14  24
34.81  82
35.14  34
36.81  42
37.00  100
41.25  29
43.52  21
45.74  37
46.91  22
60.11  26